No. 1
Calculated powder diffractogram
Compound: Er3Rh
Radiation: λ = 1.5418 Å (Cu Kα)
Structure: a crystal structure in Alexandria, relaxed with GGA-PBE
Intensities are scaled so that the largest is 1000.

Crystal structure
```
data_Er3Rh
_chemical_formula_sum 'Er24 Rh8'
_cell_length_a 11.572
_cell_length_b 11.572
_cell_length_c 6.060
_cell_angle_alpha 90.00
_cell_angle_beta 90.00
_cell_angle_gamma 90.00
_space_group_name_H-M_alt 'I -4 2 m'
_space_group_IT_number 121
_space_group_name_Hall 'I -4 2'
loop_
_atom_site_label
_atom_site_fract_x
_atom_site_fract_y
_atom_site_fract_z
Er1 0.000 0.358 0.000
Er2 0.095 0.095 0.250
Er3 0.203 0.203 0.697
Rh1 0.000 0.294 0.500
```

Top 10 peaks for 15° ≤ 2θ ≤ 90°, by angle:
two_theta, d/Å, I (rel.)
31.51, 2.839, 1000
32.83, 2.728, 310
34.67, 2.588, 215
35.24, 2.547, 567
36.91, 2.435, 236
44.73, 2.026, 150
50.27, 1.815, 118
53.61, 1.710, 158
56.56, 1.627, 118
64.74, 1.440, 122

---

No. 2
Calculated powder diffractogram
Compound: Er3Rh
Radiation: λ = 1.5418 Å (Cu Kα)
Structure: a crystal structure in Alexandria, relaxed with GGA-PBE
Intensities are scaled so that the largest is 1000.

Crystal structure
```
data_Er3Rh
_chemical_formula_sum 'Er12 Rh4'
_cell_length_a 7.115
_cell_length_b 9.324
_cell_length_c 6.262
_cell_angle_alpha 90.00
_cell_angle_beta 90.00
_cell_angle_gamma 90.00
_space_group_name_H-M_alt 'P n m a'
_space_group_IT_number 62
loop_
_space_group_symop_operation_xyz
'x,y,z'
'-x,-y,-z'
'-x+1/2,-y,z+1/2'
'x+1/2,y,-z+1/2'
'x+1/2,-y+1/2,-z+1/2'
'-x+1/2,y+1/2,z+1/2'
'-x,y+1/2,-z'
'x,-y+1/2,z'
loop_
_atom_site_label
_atom_site_fract_x
_atom_site_fract_y
_atom_site_fract_z
Er1 0.035 0.250 0.134
Er2 0.178 0.063 0.673
Rh1 0.116 0.750 0.448
```

Top 10 peaks for 15° ≤ 2θ ≤ 90°, by angle:
two_theta, d/Å, I (rel.)
30.45, 2.936, 562
31.21, 2.866, 473
31.64, 2.828, 756
32.15, 2.784, 1000
32.69, 2.739, 950
34.57, 2.595, 855
34.81, 2.577, 757
38.46, 2.341, 360
40.68, 2.218, 354
57.02, 1.615, 356

---

No. 3
Calculated powder diffractogram
Compound: Er3Rh
Radiation: λ = 1.5418 Å (Cu Kα)
Structure: a crystal structure in Alexandria, relaxed with GGA-PBE
Intensities are scaled so that the largest is 1000.

Crystal structure
```
data_Er3Rh
_chemical_formula_sum 'Er6 Rh2'
_cell_length_a 3.591
_cell_length_b 5.241
_cell_length_c 10.678
_cell_angle_alpha 90.00
_cell_angle_beta 90.00
_cell_angle_gamma 90.00
_space_group_name_H-M_alt 'I m m m'
_space_group_IT_number 71
_space_group_name_Hall '-I 2 2'
loop_
_atom_site_label
_atom_site_fract_x
_atom_site_fract_y
_atom_site_fract_z
Er1 0.000 0.000 0.000
Er2 0.000 0.500 0.200
Rh1 0.000 0.000 0.500
```

Top 10 peaks for 15° ≤ 2θ ≤ 90°, by angle:
two_theta, d/Å, I (rel.)
30.35, 2.945, 263
33.57, 2.670, 128
34.22, 2.621, 324
34.63, 2.591, 1000
49.67, 1.836, 96
50.85, 1.796, 106
61.53, 1.507, 190
61.70, 1.503, 101
62.72, 1.481, 112
78.61, 1.217, 96

---

No. 4
Calculated powder diffractogram
Compound: Er6Ru2Rh
Radiation: λ = 1.5418 Å (Cu Kα)
Structure: a crystal structure in Alexandria, relaxed with GGA-PBE
Intensities are scaled so that the largest is 1000.

Crystal structure
```
data_Er6Ru2Rh
_chemical_formula_sum 'Er24 Ru8 Rh4'
_cell_length_a 4.764
_cell_length_b 12.876
_cell_length_c 14.291
_cell_angle_alpha 90.00
_cell_angle_beta 90.00
_cell_angle_gamma 90.00
_space_group_name_H-M_alt 'F m m m'
_space_group_IT_number 69
_space_group_name_Hall '-F 2 2'
loop_
_atom_site_label
_atom_site_fract_x
_atom_site_fract_y
_atom_site_fract_z
Er1 0.000 0.129 0.000
Er2 0.000 0.129 0.332
Ru1 0.000 0.000 0.166
Rh1 0.000 0.000 0.500
```

Top 10 peaks for 15° ≤ 2θ ≤ 90°, by angle:
two_theta, d/Å, I (rel.)
27.37, 3.259, 210
27.71, 3.219, 169
33.83, 2.650, 1000
37.77, 2.382, 561
44.28, 2.046, 365
47.49, 1.915, 160
54.48, 1.684, 195
65.69, 1.421, 291
70.63, 1.334, 174
72.73, 1.300, 166

---

No. 5
Calculated powder diffractogram
Compound: Er6Ru5Rh
Radiation: λ = 1.5418 Å (Cu Kα)
Structure: a crystal structure in Alexandria, relaxed with GGA-PBE
Intensities are scaled so that the largest is 1000.

Crystal structure
```
data_Er6Ru5Rh
_chemical_formula_sum 'Er12 Ru10 Rh2'
_cell_length_a 4.769
_cell_length_b 14.281
_cell_length_c 6.763
_cell_angle_alpha 90.00
_cell_angle_beta 90.00
_cell_angle_gamma 90.00
_space_group_name_H-M_alt 'C m m m'
_space_group_IT_number 65
_space_group_name_Hall '-C 2 2'
loop_
_atom_site_label
_atom_site_fract_x
_atom_site_fract_y
_atom_site_fract_z
Er1 0.000 0.000 0.248
Er2 0.000 0.332 0.249
Ru1 0.000 0.166 0.000
Ru2 0.000 0.166 0.500
Ru3 0.000 0.500 0.000
Rh1 0.000 0.500 0.500
```

Top 10 peaks for 15° ≤ 2θ ≤ 90°, by angle:
two_theta, d/Å, I (rel.)
26.42, 3.373, 77
37.70, 2.386, 1000
37.80, 2.380, 198
46.64, 1.947, 24
54.26, 1.691, 70
54.47, 1.685, 138
61.52, 1.507, 22
67.99, 1.379, 140
68.13, 1.376, 279
80.51, 1.193, 110

---

No. 6
Calculated powder diffractogram
Compound: Er5Sb4Rh
Radiation: λ = 1.5418 Å (Cu Kα)
Structure: a crystal structure in Alexandria, relaxed with GGA-PBE
Intensities are scaled so that the largest is 1000.

Crystal structure
```
data_Er5Sb4Rh
_chemical_formula_sum 'Er10 Sb8 Rh2'
_cell_length_a 9.542
_cell_length_b 9.542
_cell_length_c 6.126
_cell_angle_alpha 90.00
_cell_angle_beta 90.00
_cell_angle_gamma 90.00
_space_group_name_H-M_alt 'I 4'
_space_group_IT_number 79
loop_
_space_group_symop_operation_xyz
'x,y,z'
'-y,x,z'
'-x,-y,z'
'y,-x,z'
'x+1/2,y+1/2,z+1/2'
'-y+1/2,x+1/2,z+1/2'
'-x+1/2,-y+1/2,z+1/2'
'y+1/2,-x+1/2,z+1/2'
loop_
_atom_site_label
_atom_site_fract_x
_atom_site_fract_y
_atom_site_fract_z
Er1 0.000 0.000 0.000
Er2 0.095 0.717 0.381
Sb1 0.092 0.702 0.881
Rh1 0.000 0.000 0.446
```

Top 10 peaks for 15° ≤ 2θ ≤ 90°, by angle:
two_theta, d/Å, I (rel.)
29.15, 3.063, 416
29.61, 3.017, 1000
42.03, 2.150, 665
42.36, 2.134, 363
52.25, 1.751, 316
61.46, 1.509, 112
68.74, 1.366, 118
69.44, 1.353, 125
69.68, 1.349, 152
77.26, 1.235, 175

---

No. 7
Calculated powder diffractogram
Compound: Er3Sb4Rh8
Radiation: λ = 1.5418 Å (Cu Kα)
Structure: a crystal structure in Alexandria, relaxed with GGA-PBE
Intensities are scaled so that the largest is 1000.

Crystal structure
```
data_Er3Sb4Rh8
_chemical_formula_sum 'Er24 Sb32 Rh64'
_cell_length_a 12.957
_cell_length_b 12.957
_cell_length_c 12.957
_cell_angle_alpha 90.00
_cell_angle_beta 90.00
_cell_angle_gamma 90.00
_space_group_name_H-M_alt 'F m -3 m'
_space_group_IT_number 225
_space_group_name_Hall '-F 4 2 3'
loop_
_atom_site_label
_atom_site_fract_x
_atom_site_fract_y
_atom_site_fract_z
Er1 0.000 0.000 0.228
Sb1 0.000 0.000 0.000
Sb2 0.000 0.000 0.500
Sb3 0.000 0.250 0.250
Rh1 0.120 0.120 0.380
Rh2 0.164 0.164 0.164
```

Top 10 peaks for 15° ≤ 2θ ≤ 90°, by angle:
two_theta, d/Å, I (rel.)
30.86, 2.897, 95
33.89, 2.645, 73
36.02, 2.494, 267
39.34, 2.291, 1000
41.83, 2.160, 66
56.85, 1.620, 100
64.30, 1.449, 66
69.16, 1.358, 84
71.32, 1.322, 223
84.62, 1.145, 80